(1)
Diffraction record for NaPbWI. The XRD peak list is calculated, not measured: it uses a crystal structure in Alexandria, relaxed with PBE and λ = 1.5418 Å (Cu Kα).
No peak broadening, texture or thermal motion is included.

Structural model:
abc: 3.4188 7.6255 7.6255
angles: 34.15 90.00 90.00
Element x y z (fractional)
Na1 0.0000 0.0000 0.0000
Pb1 0.0000 0.6910 0.6910
W1 0.5000 0.2050 0.2050
I1 0.5000 0.3917 0.3917

Principal peaks in the range 15° ≤ 2θ ≤ 90°, in order of rising 2θ:
20.75°, intensity 114; 24.42°, intensity 496; 33.55°, intensity 1000; 37.00°, intensity 202; 37.94°, intensity 338; 40.28°, intensity 222; 45.64°, intensity 494; 47.67°, intensity 169; 55.60°, intensity 132; 55.83°, intensity 124; 68.95°, intensity 128; 76.99°, intensity 110

(2)
Diffraction record for Ca2Tl5Ga. The XRD peak list is calculated, not measured: it uses a crystal structure in Alexandria, relaxed with PBE and λ = 1.5418 Å (Cu Kα).
No peak broadening, texture or thermal motion is included.

Structural model:
abc: 7.3475 14.5502 4.2066
angles: 90.00 90.00 90.00
Element x y z (fractional)
Ca1 0.2390 0.1205 0.0000
Ca2 0.2610 0.6205 0.0000
Ca3 0.7390 0.3795 0.0000
Ca4 0.7610 0.8795 0.0000
Tl1 0.0000 0.5000 0.5000
Tl2 0.0014 0.2543 0.5000
Tl3 0.2323 0.8803 0.0000
Tl4 0.2677 0.3803 0.0000
Tl5 0.4986 0.7543 0.5000
Tl6 0.5000 0.0000 0.5000
Tl7 0.5014 0.2457 0.5000
Tl8 0.7323 0.6197 0.0000
Tl9 0.7677 0.1197 0.0000
Tl10 0.9986 0.7457 0.5000
Ga1 0.0000 0.0000 0.5000
Ga2 0.5000 0.5000 0.5000

Principal peaks in the range 15° ≤ 2θ ≤ 90°, in order of rising 2θ:
17.15°, intensity 328; 27.33°, intensity 225; 32.35°, intensity 1000; 32.54°, intensity 992; 34.70°, intensity 833; 43.00°, intensity 235; 49.63°, intensity 144; 50.15°, intensity 152; 56.40°, intensity 419; 60.61°, intensity 313; 60.96°, intensity 315; 68.16°, intensity 122

(3)
Diffraction record for CaCdTe2W. The XRD peak list is calculated, not measured: it uses a crystal structure in Alexandria, relaxed with PBE and λ = 1.5418 Å (Cu Kα).
No peak broadening, texture or thermal motion is included.

Structural model:
abc: 5.6864 5.6864 5.2086
angles: 90.00 90.00 90.00
Element x y z (fractional)
Ca1 0.0000 0.0000 0.0000
Cd1 0.5000 0.5000 0.5000
Te1 0.0000 0.5000 0.5000
Te2 0.5000 0.0000 0.5000
W1 0.5000 0.5000 0.0000

Principal peaks in the range 15° ≤ 2θ ≤ 90°, in order of rising 2θ:
15.58°, intensity 988; 28.03°, intensity 996; 31.47°, intensity 1000; 34.44°, intensity 392; 35.29°, intensity 275; 38.00°, intensity 225; 45.10°, intensity 366; 47.34°, intensity 634; 53.94°, intensity 322; 57.95°, intensity 343; 76.28°, intensity 266; 84.86°, intensity 232

(4)
Diffraction record for Pu6AgRu2. The XRD peak list is calculated, not measured: it uses a crystal structure in Alexandria, relaxed with PBE and λ = 1.5418 Å (Cu Kα).
No peak broadening, texture or thermal motion is included.

Structural model:
abc: 7.9945 7.9945 2.7351
angles: 90.00 90.00 120.00
Element x y z (fractional)
Pu1 0.0011 0.6480 0.0867
Pu2 0.3520 0.3530 0.0867
Pu3 0.3530 0.0011 0.9133
Pu4 0.6470 0.9989 0.0867
Pu5 0.6480 0.6470 0.9133
Pu6 0.9989 0.3520 0.9133
Ag1 0.0000 0.0000 0.5000
Ru1 0.3333 0.6667 0.4945
Ru2 0.6667 0.3333 0.5055

Principal peaks in the range 15° ≤ 2θ ≤ 90°, in order of rising 2θ:
22.24°, intensity 199; 32.74°, intensity 149; 39.03°, intensity 1000; 39.94°, intensity 825; 51.83°, intensity 231; 57.07°, intensity 274; 70.70°, intensity 154; 71.31°, intensity 268; 73.14°, intensity 136; 81.88°, intensity 77; 83.84°, intensity 93; 86.17°, intensity 85

(5)
Diffraction record for Be3Sb2. The XRD peak list is calculated, not measured: it uses a crystal structure in Alexandria, relaxed with PBE and λ = 1.5418 Å (Cu Kα).
No peak broadening, texture or thermal motion is included.

Structural model:
abc: 7.9983 4.7707 8.3304
angles: 69.23 33.90 76.87
Element x y z (fractional)
Be1 0.0000 0.0000 0.0000
Be2 0.1577 0.3532 0.5849
Be3 0.2500 0.2500 0.2500
Be4 0.3458 0.6651 0.8968
Be5 0.3532 0.1577 0.9042
Be6 0.6651 0.3458 0.0923
Sb1 0.3612 0.8273 0.5387
Sb2 0.7113 0.9772 0.8888
Sb3 0.8273 0.3612 0.2728
Sb4 0.9772 0.7113 0.4227

Principal peaks in the range 15° ≤ 2θ ≤ 90°, in order of rising 2θ:
20.07°, intensity 661; 26.33°, intensity 1000; 26.60°, intensity 477; 32.71°, intensity 710; 33.93°, intensity 484; 35.87°, intensity 740; 38.87°, intensity 301; 39.60°, intensity 537; 40.80°, intensity 229; 47.05°, intensity 245; 54.19°, intensity 242; 63.93°, intensity 265

(6)
Diffraction record for LaNdMg. The XRD peak list is calculated, not measured: it uses a crystal structure in Alexandria, relaxed with PBE and λ = 1.5418 Å (Cu Kα).
No peak broadening, texture or thermal motion is included.

Structural model:
abc: 5.6270 5.6270 3.4601
angles: 90.00 90.00 120.00
Element x y z (fractional)
La1 0.0000 0.0000 0.0000
Nd1 0.6667 0.3333 0.4164
Mg1 0.3333 0.6667 0.6861

Principal peaks in the range 15° ≤ 2θ ≤ 90°, in order of rising 2θ:
18.20°, intensity 241; 31.76°, intensity 1000; 36.89°, intensity 42; 45.53°, intensity 205; 49.49°, intensity 36; 56.44°, intensity 66; 56.63°, intensity 299; 63.08°, intensity 63; 66.26°, intensity 41; 66.46°, intensity 52; 75.38°, intensity 56; 75.52°, intensity 91

(7)
Diffraction record for PuAg2PbBr8. The XRD peak list is calculated, not measured: it uses a crystal structure in Alexandria, relaxed with PBE and λ = 1.5418 Å (Cu Kα).
No peak broadening, texture or thermal motion is included.

Structural model:
abc: 7.0659 7.3445 8.8655
angles: 73.09 89.94 78.02
Element x y z (fractional)
Pu1 0.0000 0.0000 0.0000
Ag1 0.4672 0.3400 0.6837
Ag2 0.5328 0.6600 0.3163
Pb1 0.0000 0.0000 0.5000
Br1 0.0972 0.2460 0.7116
Br2 0.1244 0.2134 0.1768
Br3 0.3636 0.7639 0.0285
Br4 0.4015 0.7422 0.5768
Br5 0.5985 0.2578 0.4232
Br6 0.6364 0.2361 0.9715
Br7 0.8756 0.7866 0.8232
Br8 0.9028 0.7540 0.2884

Principal peaks in the range 15° ≤ 2θ ≤ 90°, in order of rising 2θ:
16.13°, intensity 1000; 20.14°, intensity 706; 23.99°, intensity 657; 25.83°, intensity 564; 27.86°, intensity 371; 28.94°, intensity 571; 29.20°, intensity 568; 31.44°, intensity 561; 40.71°, intensity 450; 42.44°, intensity 518; 43.38°, intensity 396; 43.56°, intensity 775

(8)
Diffraction record for CsTlHg14. The XRD peak list is calculated, not measured: it uses a crystal structure in Alexandria, relaxed with PBE and λ = 1.5418 Å (Cu Kα).
No peak broadening, texture or thermal motion is included.

Structural model:
abc: 7.3234 7.3234 9.2939
angles: 90.00 90.00 90.00
Element x y z (fractional)
Cs1 0.0000 0.0000 0.0000
Tl1 0.5000 0.5000 0.0000
Hg1 0.0000 0.0000 0.5000
Hg2 0.0000 0.5000 0.0000
Hg3 0.0000 0.5000 0.5000
Hg4 0.2621 0.2621 0.2682
Hg5 0.2621 0.2621 0.7318
Hg6 0.2621 0.7379 0.2682
Hg7 0.2621 0.7379 0.7318
Hg8 0.5000 0.0000 0.0000
Hg9 0.5000 0.0000 0.5000
Hg10 0.5000 0.5000 0.5000
Hg11 0.7379 0.2621 0.2682
Hg12 0.7379 0.2621 0.7318
Hg13 0.7379 0.7379 0.2682
Hg14 0.7379 0.7379 0.7318

Principal peaks in the range 15° ≤ 2θ ≤ 90°, in order of rising 2θ:
31.10°, intensity 1000; 34.64°, intensity 383; 38.76°, intensity 130; 49.80°, intensity 136; 52.95°, intensity 210; 59.89°, intensity 305; 64.84°, intensity 113; 65.42°, intensity 99; 81.54°, intensity 62; 83.48°, intensity 60; 85.95°, intensity 52; 86.48°, intensity 94

(9)
Diffraction record for Na2Np2NiS6. The XRD peak list is calculated, not measured: it uses a crystal structure in Alexandria, relaxed with PBE and λ = 1.5418 Å (Cu Kα).
No peak broadening, texture or thermal motion is included.

Structural model:
abc: 6.5881 6.5881 7.1152
angles: 98.59 98.59 120.29
Element x y z (fractional)
Na1 0.1649 0.8351 0.0000
Na2 0.8351 0.1649 0.0000
Np1 0.3342 0.6658 0.5000
Np2 0.6658 0.3342 0.5000
Ni1 0.0000 0.0000 0.5000
S1 0.0695 0.3945 0.7152
S2 0.2334 0.2334 0.2956
S3 0.3945 0.0695 0.7152
S4 0.6055 0.9305 0.2848
S5 0.7666 0.7666 0.7044
S6 0.9305 0.6055 0.2848

Principal peaks in the range 15° ≤ 2θ ≤ 90°, in order of rising 2θ:
17.91°, intensity 234; 26.26°, intensity 219; 27.41°, intensity 564; 27.58°, intensity 251; 28.52°, intensity 494; 32.31°, intensity 1000; 32.60°, intensity 531; 35.11°, intensity 212; 41.32°, intensity 318; 45.10°, intensity 351; 47.98°, intensity 320; 59.03°, intensity 265

(10)
Diffraction record for Ni7Ge2MoPt2. The XRD peak list is calculated, not measured: it uses a crystal structure in Alexandria, relaxed with PBE and λ = 1.5418 Å (Cu Kα).
No peak broadening, texture or thermal motion is included.

Structural model:
abc: 3.6187 3.6187 12.1240
angles: 90.00 90.00 90.60
Element x y z (fractional)
Ni1 0.0000 0.0000 0.0000
Ni2 0.0000 0.5000 0.1453
Ni3 0.0000 0.5000 0.8547
Ni4 0.2328 0.7672 0.5000
Ni5 0.5000 0.0000 0.1453
Ni6 0.5000 0.0000 0.8547
Ni7 0.7672 0.2328 0.5000
Ge1 0.5000 0.5000 0.3412
Ge2 0.5000 0.5000 0.6588
Mo1 0.5000 0.5000 0.0000
Pt1 0.0000 0.0000 0.3029
Pt2 0.0000 0.0000 0.6971

Principal peaks in the range 15° ≤ 2θ ≤ 90°, in order of rising 2θ:
24.60°, intensity 177; 28.73°, intensity 357; 35.26°, intensity 254; 41.62°, intensity 1000; 41.95°, intensity 540; 44.86°, intensity 240; 45.00°, intensity 242; 46.60°, intensity 186; 50.44°, intensity 391; 52.82°, intensity 206; 55.66°, intensity 233; 89.22°, intensity 217

(11)
Diffraction record for NaDyIn2I6. The XRD peak list is calculated, not measured: it uses a crystal structure in Alexandria, relaxed with PBE and λ = 1.5418 Å (Cu Kα).
No peak broadening, texture or thermal motion is included.

Structural model:
abc: 8.6788 8.6788 8.6788
angles: 58.19 58.19 58.19
Element x y z (fractional)
Na1 0.0000 0.0000 0.0000
Dy1 0.4941 0.4941 0.4941
In1 0.2928 0.2928 0.2928
In2 0.7994 0.7994 0.7994
I1 0.1429 0.7145 0.3659
I2 0.2458 0.6332 0.8357
I3 0.3659 0.1429 0.7145
I4 0.6332 0.8357 0.2458
I5 0.7145 0.3659 0.1429
I6 0.8357 0.2458 0.6332

Principal peaks in the range 15° ≤ 2θ ≤ 90°, in order of rising 2θ:
20.48°, intensity 139; 24.47°, intensity 1000; 24.79°, intensity 128; 25.74°, intensity 190; 29.54°, intensity 395; 32.73°, intensity 783; 36.56°, intensity 146; 36.89°, intensity 392; 38.72°, intensity 138; 43.46°, intensity 227; 44.92°, intensity 187; 57.57°, intensity 138